1.
Diffraction record for PuNiMoO6. The powder diffraction line list is theoretical, not measured: it uses the PBE+U geometry in Alexandria and Cu Kα (weighted mean of Kα1 and Kα2).
Neutral-atom scattering factors, no anomalous dispersion.

Largest 12 diffraction maxima, by angle, 2θ = 5–70°:
d (Å), Position (°2θ), I/Imax
4.608, 19.26, 26.2
4.047, 21.96, 57.8
3.221, 27.69, 100.0
2.601, 34.48, 55.3
2.538, 35.37, 18.3
2.265, 39.80, 29.3
2.188, 41.26, 12.4
2.024, 44.79, 27.1
1.725, 53.11, 51.7
1.674, 54.83, 11.2
1.597, 57.72, 25.3
1.502, 61.78, 19.1

Cell and atoms:
a b c (Å): 5.202 5.202 9.215
angles (deg): 90.00 90.00 120.00
Fractional coordinates of all 18 atoms:
Pu1 0.333 0.667 0.250
Pu2 0.667 0.333 0.750
Ni1 0.333 0.667 0.750
Ni2 0.667 0.333 0.250
Mo1 0.000 0.000 0.000
Mo2 0.000 0.000 0.500
O1 0.003 0.325 0.627
O2 0.003 0.677 0.873
O3 0.323 0.325 0.873
O4 0.323 0.997 0.627
O5 0.325 0.003 0.127
O6 0.325 0.323 0.373
O7 0.675 0.677 0.627
O8 0.675 0.997 0.873
O9 0.677 0.003 0.373
O10 0.677 0.675 0.127
O11 0.997 0.323 0.127
O12 0.997 0.675 0.373

***

2.
Diffraction record for ZnNiMo2O8. The powder diffraction line list is theoretical, not measured: it uses the PBE+U geometry in Alexandria and Cu Kα (weighted mean of Kα1 and Kα2).
Neutral-atom scattering factors, no anomalous dispersion.

Largest 12 diffraction maxima, by angle, 2θ = 5–70°:
d (Å), Position (°2θ), I/Imax
5.001, 17.74, 7.8
3.140, 28.43, 55.7
3.026, 29.52, 100.0
2.500, 35.91, 9.2
2.220, 40.64, 8.0
2.067, 43.79, 3.2
1.790, 51.02, 41.3
1.727, 53.04, 18.2
1.570, 58.82, 11.4
1.513, 61.27, 20.2
1.404, 66.60, 8.8
1.393, 67.18, 8.7

Cell and atoms:
a b c (Å): 6.067 6.067 6.067
angles (deg): 117.67 117.67 94.08
Fractional coordinates of all 12 atoms:
Zn1 0.000 0.000 0.000
Ni1 0.750 0.250 0.500
Mo1 0.250 0.750 0.500
Mo2 0.500 0.500 0.000
O1 0.125 0.392 0.266
O2 0.125 0.859 0.734
O3 0.140 0.374 0.766
O4 0.141 0.875 0.266
O5 0.607 0.374 0.234
O6 0.608 0.875 0.734
O7 0.626 0.393 0.766
O8 0.626 0.860 0.234

***

Question: Number 2 is which compound?
Answer: ZnNiMo2O8

***

Question: Number 2 is which compound?
Answer: ZnNiMo2O8